The following is a calculated PXRD pattern of Tb2N3. It was derived from DFT lattice parameters and positions (PBE), using Cu Kα (λ = 1.5418 Å).
Intensities are scaled so that the largest is 100.

Cell and atoms:
Lattice parameters (Å, degrees): 11.033 11.033 11.033 90.00 90.00 90.00
Space group Ia-3 (No. 206)
Unique sites:
Tb  0.000  0.000  0.000 (multiplicity 8)
Tb  0.000  0.250  0.280 (multiplicity 24)
N  0.102  0.139  0.629 (multiplicity 48)

Most intense lines, 10° ≤ 2θ ≤ 90°, most intense first:
2theta  I_rel  h k l
28.02  100  2 2 2
46.57  39  4 4 0
32.46  37  4 0 0
55.23  34  6 2 2
75.06  10  6 6 2
19.71  9  2 1 1
77.36  8  8 4 0
57.91  8  4 4 4
41.75  7  4 3 1
86.41  7  8 4 4